# 1
Diffraction record for AsAuC. The PXRD pattern is calculated, not measured: it uses a DFT-relaxed cell (PBE, Alexandria) and copper Kα.

Cell and atoms:
a b c (Å): 5.725 5.725 5.725
angles (deg): 31.90 31.90 31.90
Sites, in units of the cell vectors:
As (0.000, 0.000, 0.000)
Au (0.848, 0.848, 0.848)
C (0.718, 0.718, 0.718)

The 6 most intense peaks (10° ≤ 2θ ≤ 80°), by intensity:
2.688 Å, I 100
2.584 Å, I 46
2.715 Å, I 37
1.770 Å, I 35
5.429 Å, I 34
2.090 Å, I 33

***

# 2
Diffraction record for AsPAuC. The PXRD pattern is calculated, not measured: it uses a DFT-relaxed cell (PBE, Alexandria) and copper Kα.

Cell and atoms:
a b c (Å): 3.042 4.003 6.254
angles (deg): 90.00 104.23 90.00
Sites, in units of the cell vectors:
As (0.000, 0.000, 0.000)
P (0.260, 0.000, 0.527)
Au (0.143, 0.500, 0.285)
C (0.404, 0.000, 0.810)

The 6 most intense peaks (10° ≤ 2θ ≤ 80°), by intensity:
6.062 Å, I 100
2.951 Å, I 88
3.340 Å, I 88
2.078 Å, I 74
2.416 Å, I 60
1.656 Å, I 32

***

# 3
Diffraction record for AsPAuC2. The PXRD pattern is calculated, not measured: it uses a DFT-relaxed cell (PBE, Alexandria) and copper Kα.

Cell and atoms:
a b c (Å): 3.846 3.937 6.047
angles (deg): 90.00 90.00 90.00
Sites, in units of the cell vectors:
As (0.000, 0.000, 0.000)
P (0.000, 0.000, 0.533)
Au (0.000, 0.500, 0.282)
C (0.325, 0.000, 0.747)
C (0.675, 0.000, 0.747)

The 6 most intense peaks (10° ≤ 2θ ≤ 80°), by intensity:
3.846 Å, I 100
3.299 Å, I 89
6.047 Å, I 79
2.035 Å, I 78
2.504 Å, I 66
3.245 Å, I 58

***

# 4
Diffraction record for AsPAuC. The PXRD pattern is calculated, not measured: it uses a DFT-relaxed cell (PBE, Alexandria) and copper Kα.

Cell and atoms:
a b c (Å): 4.923 4.923 6.987
angles (deg): 128.15 128.15 34.43
Sites, in units of the cell vectors:
As (0.000, 0.000, 0.000)
P (0.091, 0.091, 0.735)
Au (0.893, 0.893, 0.296)
C (0.740, 0.740, 0.883)

The 6 most intense peaks (10° ≤ 2θ ≤ 80°), by intensity:
2.700 Å, I 100
2.351 Å, I 73
5.329 Å, I 72
4.700 Å, I 63
3.587 Å, I 54
3.466 Å, I 46

***

# 5
Diffraction record for AsPAuC. The PXRD pattern is calculated, not measured: it uses a DFT-relaxed cell (PBE, Alexandria) and copper Kα.

Cell and atoms:
a b c (Å): 3.016 2.891 8.064
angles (deg): 90.00 100.89 90.00
Sites, in units of the cell vectors:
As (0.000, 0.000, 0.000)
P (0.306, 0.500, 0.609)
Au (0.637, 0.000, 0.271)
C (0.242, 0.000, 0.477)

The 6 most intense peaks (10° ≤ 2θ ≤ 80°), by intensity:
7.919 Å, I 100
2.619 Å, I 44
2.716 Å, I 28
1.941 Å, I 23
1.743 Å, I 22
2.891 Å, I 21

***

# 6
Diffraction record for AsPAuC. The PXRD pattern is calculated, not measured: it uses a DFT-relaxed cell (PBE, Alexandria) and copper Kα.

Cell and atoms:
a b c (Å): 7.381 7.381 3.740
angles (deg): 101.51 101.51 22.57
Sites, in units of the cell vectors:
As (0.000, 0.000, 0.000)
P (0.884, 0.884, 0.368)
Au (0.173, 0.173, 0.233)
C (0.319, 0.319, 0.321)

The 6 most intense peaks (10° ≤ 2θ ≤ 80°), by intensity:
7.087 Å, I 100
2.830 Å, I 99
3.562 Å, I 91
3.661 Å, I 89
2.284 Å, I 56
2.198 Å, I 47

***

# 7
Diffraction record for Ca2GeAsAu6. The PXRD pattern is calculated, not measured: it uses a DFT-relaxed cell (PBE, Alexandria) and copper Kα.

Cell and atoms:
a b c (Å): 5.685 8.387 9.647
angles (deg): 90.00 90.00 90.00
Sites, in units of the cell vectors:
Ca (0.250, 0.000, 0.237)
Ca (0.250, 0.500, 0.237)
Ca (0.750, 0.000, 0.763)
Ca (0.750, 0.500, 0.763)
Ge (0.250, 0.250, 0.768)
Ge (0.750, 0.750, 0.232)
As (0.250, 0.750, 0.798)
As (0.750, 0.250, 0.202)
Au (0.000, 0.250, 0.984)
Au (0.000, 0.750, 0.016)
Au (0.004, 0.750, 0.475)
Au (0.250, 0.516, 0.626)
Au (0.250, 0.984, 0.626)
Au (0.496, 0.750, 0.475)
Au (0.500, 0.250, 0.984)
Au (0.500, 0.750, 0.016)
Au (0.504, 0.250, 0.525)
Au (0.750, 0.016, 0.374)
Au (0.750, 0.484, 0.374)
Au (0.996, 0.250, 0.525)

The 6 most intense peaks (10° ≤ 2θ ≤ 80°), by intensity:
2.353 Å, I 100
3.165 Å, I 91
2.449 Å, I 88
2.115 Å, I 79
2.091 Å, I 68
4.824 Å, I 68

***

# 8
Diffraction record for Ca2AsPAu6. The PXRD pattern is calculated, not measured: it uses a DFT-relaxed cell (PBE, Alexandria) and copper Kα.

Cell and atoms:
a b c (Å): 5.634 8.266 9.659
angles (deg): 90.00 90.00 90.00
Sites, in units of the cell vectors:
Ca (0.250, 0.002, 0.239)
Ca (0.250, 0.498, 0.239)
Ca (0.750, 0.502, 0.761)
Ca (0.750, 0.998, 0.761)
As (0.250, 0.750, 0.797)
As (0.750, 0.250, 0.203)
P (0.250, 0.250, 0.785)
P (0.750, 0.750, 0.215)
Au (0.000, 0.250, 0.486)
Au (0.000, 0.750, 0.514)
Au (0.001, 0.750, 0.015)
Au (0.250, 0.011, 0.635)
Au (0.250, 0.489, 0.635)
Au (0.499, 0.750, 0.015)
Au (0.500, 0.250, 0.486)
Au (0.500, 0.750, 0.514)
Au (0.501, 0.250, 0.985)
Au (0.750, 0.511, 0.365)
Au (0.750, 0.989, 0.365)
Au (0.999, 0.250, 0.985)

The 6 most intense peaks (10° ≤ 2θ ≤ 80°), by intensity:
3.140 Å, I 100
2.328 Å, I 87
2.433 Å, I 74
4.829 Å, I 58
2.085 Å, I 56
2.097 Å, I 52

***

Repeat the second record exactly.
Diffraction record for AsPAuC. The PXRD pattern is calculated, not measured: it uses a DFT-relaxed cell (PBE, Alexandria) and copper Kα.

Cell and atoms:
a b c (Å): 3.042 4.003 6.254
angles (deg): 90.00 104.23 90.00
Sites, in units of the cell vectors:
As (0.000, 0.000, 0.000)
P (0.260, 0.000, 0.527)
Au (0.143, 0.500, 0.285)
C (0.404, 0.000, 0.810)

The 6 most intense peaks (10° ≤ 2θ ≤ 80°), by intensity:
6.062 Å, I 100
2.951 Å, I 88
3.340 Å, I 88
2.078 Å, I 74
2.416 Å, I 60
1.656 Å, I 32